# Hf3BiN
Calculated powder diffraction line list, Cu Kα X-rays. Input: a crystal structure in Alexandria, relaxed with PBE.

Largest 10 diffraction maxima, sorted by position, 10° ≤ 2θ ≤ 90°:
- hkl 2 0 1, 32.18 deg, I = 47
- hkl 2 0 -3, 33.26 deg, I = 25
- hkl 1 1 -2, 34.86 deg, I = 26
- hkl 2 1 -1, 35.44 deg, I = 100
- hkl 0 1 2, 36.50 deg, I = 60
- hkl 3 0 0, 37.63 deg, I = 20
- hkl 3 0 -3, 38.72 deg, I = 24
- hkl 1 1 2, 42.18 deg, I = 17
- hkl 0 2 0, 56.33 deg, I = 18
- hkl 3 1 2, 61.53 deg, I = 18

```
data_Hf3BiN
_chemical_formula_sum 'Hf6 Bi2 N2'
_cell_length_a 8.027
_cell_length_b 3.266
_cell_length_c 8.385
_cell_angle_alpha 90.00
_cell_angle_beta 116.68
_cell_angle_gamma 90.00
_symmetry_space_group_name_H-M 'P 1'
_symmetry_Int_Tables_number 1
_symmetry_space_group_name_Hall 'P 1'
loop_
_atom_site_label
_atom_site_type_symbol
_atom_site_fract_x
_atom_site_fract_y
_atom_site_fract_z
Hf1 Hf 0.002 0.250 0.153
Hf2 Hf 0.323 0.750 0.444
Hf3 Hf 0.374 0.250 0.136
Hf4 Hf 0.626 0.750 0.864
Hf5 Hf 0.677 0.250 0.556
Hf6 Hf 0.998 0.750 0.847
Bi1 Bi 0.244 0.250 0.720
Bi2 Bi 0.756 0.750 0.280
N1 N 0.186 0.750 0.139
N2 N 0.814 0.250 0.861
```